(1)
The following is a calculated XRD peak list of Pm4Tl2Au. It was derived from a cell relaxed with GGA-PBE, using λ = 1.5418 Å (Cu Kα).
Intensities are scaled so that the largest is 100.

Top 10 peaks for 2θ = 10–90°, by angle:
- 27.5 deg, d = 3.249 Å, I = 31
- 28.7 deg, d = 3.105 Å, I = 100
- 30.4 deg, d = 2.943 Å, I = 27
- 33.1 deg, d = 2.710 Å, I = 63
- 34.6 deg, d = 2.596 Å, I = 30
- 34.8 deg, d = 2.575 Å, I = 87
- 35.0 deg, d = 2.561 Å, I = 23
- 45.0 deg, d = 2.016 Å, I = 40
- 48.0 deg, d = 1.895 Å, I = 25
- 52.4 deg, d = 1.745 Å, I = 27

Structural model:
a = 17.6659 Å, b = 3.7890 Å, c = 7.1437 Å
α = 90.00°, β = 112.83°, γ = 90.00°
Space group C2/m (No. 12)
Unique sites:
Pm  0.0882  0.0000  0.4404 [4 per cell]
Pm  0.1224  0.5000  0.9332 [4 per cell]
Tl  0.2482  0.5000  0.6946 [4 per cell]
Au  0.0000  0.0000  0.0000 [2 per cell]

---

(2)
The following is a calculated XRD peak list of Pm12Tl3Au. It was derived from a cell relaxed with GGA-PBE, using λ = 1.5418 Å (Cu Kα).
Intensities are scaled so that the largest is 100.

Top 10 peaks for 2θ = 10–90°, by angle:
- 31.4 deg, d = 2.846 Å, I = 100
- 36.3 deg, d = 2.476 Å, I = 35
- 36.8 deg, d = 2.444 Å, I = 16
- 52.3 deg, d = 1.751 Å, I = 12
- 52.6 deg, d = 1.739 Å, I = 23
- 62.3 deg, d = 1.491 Å, I = 29
- 62.9 deg, d = 1.477 Å, I = 13
- 65.6 deg, d = 1.423 Å, I = 12
- 85.6 deg, d = 1.135 Å, I = 6
- 86.1 deg, d = 1.129 Å, I = 11

Structural model:
a = 4.9512 Å, b = 4.9512 Å, c = 19.5531 Å
α = 90.00°, β = 90.00°, γ = 90.00°
Space group P4/mmm (No. 123)
Unique sites:
Pm  0.0000  0.0000  0.0000 [1 per cell]
Pm  0.0000  0.0000  0.2437 [2 per cell]
Pm  0.0000  0.0000  0.5000 [1 per cell]
Pm  0.0000  0.5000  0.1181 [4 per cell]
Pm  0.0000  0.5000  0.3724 [4 per cell]
Tl  0.5000  0.5000  0.2459 [2 per cell]
Tl  0.5000  0.5000  0.5000 [1 per cell]
Au  0.5000  0.5000  0.0000 [1 per cell]

---

(3)
The following is a calculated XRD peak list of Pm4TlAu5. It was derived from a cell relaxed with GGA-PBE, using λ = 1.5418 Å (Cu Kα).
Intensities are scaled so that the largest is 100.

Top 10 peaks for 2θ = 10–90°, by angle:
- 34.1 deg, d = 2.630 Å, I = 53
- 34.7 deg, d = 2.587 Å, I = 100
- 49.0 deg, d = 1.860 Å, I = 19
- 50.7 deg, d = 1.801 Å, I = 8
- 61.4 deg, d = 1.510 Å, I = 39
- 62.5 deg, d = 1.486 Å, I = 17
- 73.2 deg, d = 1.294 Å, I = 11
- 81.9 deg, d = 1.176 Å, I = 9
- 82.2 deg, d = 1.172 Å, I = 9
- 84.9 deg, d = 1.142 Å, I = 7

Structural model:
a = 3.7195 Å, b = 3.7195 Å, c = 18.0056 Å
α = 90.00°, β = 90.00°, γ = 90.00°
Space group P4/mmm (No. 123)
Unique sites:
Pm  0.0000  0.0000  0.1022 [2 per cell]
Pm  0.0000  0.0000  0.3078 [2 per cell]
Tl  0.0000  0.0000  0.5000 [1 per cell]
Au  0.5000  0.5000  0.0000 [1 per cell]
Au  0.5000  0.5000  0.2022 [2 per cell]
Au  0.5000  0.5000  0.3946 [2 per cell]

---

(4)
The following is a calculated XRD peak list of PmTm2Au. It was derived from a cell relaxed with GGA-PBE, using λ = 1.5418 Å (Cu Kα).
Intensities are scaled so that the largest is 100.

Top 10 peaks for 2θ = 10–90°, by angle:
- 10.4 deg, d = 8.488 Å, I = 20
- 32.6 deg, d = 2.744 Å, I = 100
- 35.3 deg, d = 2.543 Å, I = 49
- 40.6 deg, d = 2.224 Å, I = 15
- 50.8 deg, d = 1.798 Å, I = 18
- 56.5 deg, d = 1.629 Å, I = 12
- 61.7 deg, d = 1.504 Å, I = 33
- 66.9 deg, d = 1.398 Å, I = 7
- 83.9 deg, d = 1.154 Å, I = 7
- 85.4 deg, d = 1.137 Å, I = 8

Structural model:
a = 3.5959 Å, b = 3.5959 Å, c = 8.4885 Å
α = 90.00°, β = 90.00°, γ = 90.00°
Space group P4/mmm (No. 123)
Unique sites:
Pm  0.0000  0.0000  0.0000 [1 per cell]
Tm  0.5000  0.5000  0.2989 [2 per cell]
Au  0.0000  0.0000  0.5000 [1 per cell]

---

(5)
The following is a calculated XRD peak list of PmYAu3. It was derived from a cell relaxed with GGA-PBE, using λ = 1.5418 Å (Cu Kα).
Intensities are scaled so that the largest is 100.

Top 10 peaks for 2θ = 10–90°, by angle:
- 28.8 deg, d = 3.095 Å, I = 16
- 32.6 deg, d = 2.745 Å, I = 52
- 33.8 deg, d = 2.653 Å, I = 66
- 35.8 deg, d = 2.507 Å, I = 100
- 37.2 deg, d = 2.414 Å, I = 86
- 47.7 deg, d = 1.908 Å, I = 36
- 59.3 deg, d = 1.558 Å, I = 12
- 61.8 deg, d = 1.502 Å, I = 21
- 62.7 deg, d = 1.482 Å, I = 24
- 68.2 deg, d = 1.376 Å, I = 14

Structural model:
a = 15.0372 Å, b = 5.3069 Å, c = 6.2175 Å
α = 90.00°, β = 108.91°, γ = 90.00°
Space group C2/m (No. 12)
Unique sites:
Pm  0.0955  0.0000  0.4039 [4 per cell]
Y  0.1848  0.5000  0.1085 [4 per cell]
Au  0.0001  0.5000  0.2582 [4 per cell]
Au  0.1158  0.0000  0.9125 [4 per cell]
Au  0.2110  0.5000  0.6214 [4 per cell]

---

(6)
The following is a calculated XRD peak list of Pm3YAu3. It was derived from a cell relaxed with GGA-PBE, using λ = 1.5418 Å (Cu Kα).
Intensities are scaled so that the largest is 100.

Top 10 peaks for 2θ = 10–90°, by angle:
- 12.2 deg, d = 7.247 Å, I = 26
- 29.0 deg, d = 3.080 Å, I = 32
- 31.0 deg, d = 2.884 Å, I = 74
- 32.8 deg, d = 2.731 Å, I = 54
- 34.4 deg, d = 2.604 Å, I = 100
- 35.1 deg, d = 2.553 Å, I = 22
- 37.1 deg, d = 2.421 Å, I = 18
- 40.8 deg, d = 2.213 Å, I = 32
- 45.7 deg, d = 1.984 Å, I = 20
- 52.6 deg, d = 1.739 Å, I = 21

Structural model:
a = 9.6882 Å, b = 10.9234 Å, c = 7.3400 Å
α = 90.00°, β = 91.54°, γ = 90.00°
Space group C2/m (No. 12)
Unique sites:
Pm  0.0000  0.1777  0.0000 [4 per cell]
Pm  0.0000  0.2557  0.5000 [4 per cell]
Pm  0.1464  0.5000  0.8670 [4 per cell]
Y  0.2438  0.5000  0.3715 [4 per cell]
Au  0.0664  0.0000  0.3127 [4 per cell]
Au  0.2417  0.2570  0.2250 [8 per cell]

---

(7)
The following is a calculated XRD peak list of Pm3Y3Au4. It was derived from a cell relaxed with GGA-PBE, using λ = 1.5418 Å (Cu Kα).
Intensities are scaled so that the largest is 100.

Top 10 peaks for 2θ = 10–90°, by angle:
- 15.2 deg, d = 5.810 Å, I = 21
- 31.7 deg, d = 2.825 Å, I = 16
- 33.4 deg, d = 2.684 Å, I = 100
- 33.6 deg, d = 2.665 Å, I = 95
- 34.0 deg, d = 2.634 Å, I = 38
- 34.4 deg, d = 2.607 Å, I = 36
- 43.7 deg, d = 2.072 Å, I = 19
- 47.1 deg, d = 1.931 Å, I = 22
- 64.9 deg, d = 1.437 Å, I = 17
- 65.6 deg, d = 1.422 Å, I = 17

Structural model:
a = 3.8626 Å, b = 11.8194 Å, c = 11.6202 Å
α = 90.00°, β = 90.00°, γ = 90.00°
Space group Amm2 (No. 38)
Unique sites:
Pm  0.0000  0.0000  0.0000 [2 per cell]
Pm  0.0000  0.1651  0.3422 [4 per cell]
Y  0.0000  0.0000  0.6715 [2 per cell]
Y  0.5000  0.2487  0.0908 [4 per cell]
Au  0.5000  0.0000  0.2084 [2 per cell]
Au  0.5000  0.0000  0.4734 [2 per cell]
Au  0.5000  0.1302  0.8339 [4 per cell]

---

(8)
The following is a calculated XRD peak list of Pm3Zn5Au6. It was derived from a cell relaxed with GGA-PBE, using λ = 1.5418 Å (Cu Kα).
Intensities are scaled so that the largest is 100.

Top 10 peaks for 2θ = 10–90°, by angle:
- 34.2 deg, d = 2.623 Å, I = 100
- 34.6 deg, d = 2.593 Å, I = 38
- 35.3 deg, d = 2.544 Å, I = 25
- 35.5 deg, d = 2.528 Å, I = 29
- 37.8 deg, d = 2.379 Å, I = 44
- 38.9 deg, d = 2.313 Å, I = 30
- 39.5 deg, d = 2.282 Å, I = 61
- 40.3 deg, d = 2.236 Å, I = 29
- 44.7 deg, d = 2.028 Å, I = 44
- 57.7 deg, d = 1.597 Å, I = 21

Structural model:
a = 4.5648 Å, b = 13.4163 Å, c = 9.1924 Å
α = 90.00°, β = 90.00°, γ = 90.00°
Space group Pmmn (No. 59, origin choice 2)
Unique sites:
Pm  0.2500  0.0482  0.2488 [4 per cell]
Pm  0.2500  0.7500  0.2573 [2 per cell]
Zn  0.2500  0.0820  0.5996 [4 per cell]
Zn  0.2500  0.6157  0.9684 [4 per cell]
Zn  0.2500  0.7500  0.7553 [2 per cell]
Au  0.2500  0.0867  0.8798 [4 per cell]
Au  0.2500  0.2500  0.0758 [2 per cell]
Au  0.2500  0.2500  0.4424 [2 per cell]
Au  0.2500  0.6151  0.5377 [4 per cell]

---

(9)
The following is a calculated XRD peak list of Pm2Zn5Au3. It was derived from a cell relaxed with GGA-PBE, using λ = 1.5418 Å (Cu Kα).
Intensities are scaled so that the largest is 100.

Top 10 peaks for 2θ = 10–90°, by angle:
- 24.9 deg, d = 3.572 Å, I = 12
- 25.8 deg, d = 3.458 Å, I = 13
- 29.6 deg, d = 3.022 Å, I = 13
- 34.4 deg, d = 2.608 Å, I = 100
- 37.9 deg, d = 2.376 Å, I = 19
- 38.2 deg, d = 2.356 Å, I = 13
- 39.6 deg, d = 2.276 Å, I = 34
- 46.4 deg, d = 1.956 Å, I = 15
- 66.6 deg, d = 1.405 Å, I = 12
- 68.5 deg, d = 1.370 Å, I = 14

Structural model:
a = 4.5529 Å, b = 25.0650 Å, c = 6.8920 Å
α = 90.00°, β = 90.00°, γ = 90.00°
Space group Cmc2_1 (No. 36)
Unique sites:
Pm  0.0000  0.0147  0.0000 [4 per cell]
Pm  0.0000  0.3249  0.9745 [4 per cell]
Zn  0.0000  0.1086  0.6860 [4 per cell]
Zn  0.0000  0.2052  0.1528 [4 per cell]
Zn  0.0000  0.2075  0.7700 [4 per cell]
Zn  0.0000  0.3755  0.5081 [4 per cell]
Zn  0.0000  0.4473  0.8063 [4 per cell]
Au  0.0000  0.1073  0.2781 [4 per cell]
Au  0.0000  0.2704  0.4590 [4 per cell]
Au  0.0000  0.4464  0.2119 [4 per cell]

---

(10)
The following is a calculated XRD peak list of Pm3Zn3Au2. It was derived from a cell relaxed with GGA-PBE, using λ = 1.5418 Å (Cu Kα).
Intensities are scaled so that the largest is 100.

Top 10 peaks for 2θ = 10–90°, by angle:
- 16.8 deg, d = 5.290 Å, I = 20
- 31.8 deg, d = 2.815 Å, I = 100
- 32.6 deg, d = 2.750 Å, I = 58
- 34.2 deg, d = 2.625 Å, I = 24
- 35.6 deg, d = 2.524 Å, I = 35
- 36.7 deg, d = 2.446 Å, I = 59
- 38.4 deg, d = 2.343 Å, I = 29
- 39.3 deg, d = 2.295 Å, I = 59
- 40.1 deg, d = 2.249 Å, I = 68
- 54.0 deg, d = 1.698 Å, I = 21

Structural model:
a = 4.5893 Å, b = 10.5805 Å, c = 15.1440 Å
α = 90.00°, β = 90.00°, γ = 90.00°
Space group Cmcm (No. 63)
Unique sites:
Pm  0.0000  0.0983  0.1026 [8 per cell]
Pm  0.0000  0.3679  0.2500 [4 per cell]
Zn  0.0000  0.3460  0.7500 [4 per cell]
Zn  0.0000  0.3932  0.0412 [8 per cell]
Au  0.0000  0.1967  0.6050 [8 per cell]

---

(11)
The following is a calculated XRD peak list of Pm2Zn15Au2. It was derived from a cell relaxed with GGA-PBE, using λ = 1.5418 Å (Cu Kα).
Intensities are scaled so that the largest is 100.

Top 10 peaks for 2θ = 10–90°, by angle:
- 13.1 deg, d = 6.783 Å, I = 37
- 29.1 deg, d = 3.072 Å, I = 33
- 34.2 deg, d = 2.625 Å, I = 78
- 35.3 deg, d = 2.545 Å, I = 61
- 39.6 deg, d = 2.273 Å, I = 100
- 39.9 deg, d = 2.261 Å, I = 66
- 40.6 deg, d = 2.222 Å, I = 78
- 40.8 deg, d = 2.209 Å, I = 38
- 44.8 deg, d = 2.024 Å, I = 52
- 73.3 deg, d = 1.291 Å, I = 34

Structural model:
a = 9.0939 Å, b = 9.0939 Å, c = 13.3450 Å
α = 90.00°, β = 90.00°, γ = 120.00°
Space group R-3m (No. 166, hexagonal axes)
Unique sites:
Pm  0.0000  0.0000  0.1600 [6 per cell]
Zn  0.0000  0.2937  0.5000 [18 per cell]
Zn  0.0000  0.5000  0.0000 [9 per cell]
Zn  0.0098  0.5049  0.6532 [18 per cell]
Au  0.0000  0.0000  0.3905 [6 per cell]

---

(12)
The following is a calculated XRD peak list of Pm3Zn4Au4. It was derived from a cell relaxed with GGA-PBE, using λ = 1.5418 Å (Cu Kα).
Intensities are scaled so that the largest is 100.

Top 10 peaks for 2θ = 10–90°, by angle:
- 31.6 deg, d = 2.834 Å, I = 47
- 31.7 deg, d = 2.823 Å, I = 46
- 32.5 deg, d = 2.757 Å, I = 100
- 33.5 deg, d = 2.676 Å, I = 57
- 33.6 deg, d = 2.667 Å, I = 57
- 40.5 deg, d = 2.227 Å, I = 70
- 40.7 deg, d = 2.219 Å, I = 50
- 40.8 deg, d = 2.211 Å, I = 49
- 48.0 deg, d = 1.897 Å, I = 42
- 64.6 deg, d = 1.442 Å, I = 42

Structural model:
a = 3.7937 Å, b = 4.4540 Å, c = 14.3346 Å
α = 98.67°, β = 97.54°, γ = 90.23°
Space group P-1 (No. 2)
Unique sites:
Pm  0.0000  0.0000  0.0000 [1 per cell]
Pm  0.1454  0.6446  0.2909 [2 per cell]
Zn  0.2559  0.2588  0.5120 [2 per cell]
Zn  0.4034  0.9048  0.8073 [2 per cell]
Au  0.3105  0.8132  0.6214 [2 per cell]
Au  0.4508  0.4499  0.8994 [2 per cell]

---

(13)
The following is a calculated XRD peak list of PmZn2Au4. It was derived from a cell relaxed with GGA-PBE, using λ = 1.5418 Å (Cu Kα).
Intensities are scaled so that the largest is 100.

Top 10 peaks for 2θ = 10–90°, by angle:
- 32.6 deg, d = 2.743 Å, I = 23
- 33.0 deg, d = 2.716 Å, I = 48
- 33.1 deg, d = 2.703 Å, I = 25
- 33.5 deg, d = 2.678 Å, I = 60
- 36.0 deg, d = 2.495 Å, I = 100
- 41.4 deg, d = 2.179 Å, I = 35
- 41.9 deg, d = 2.156 Å, I = 54
- 42.2 deg, d = 2.140 Å, I = 63
- 42.5 deg, d = 2.127 Å, I = 60
- 65.8 deg, d = 1.418 Å, I = 44

Structural model:
a = 8.8483 Å, b = 7.0044 Å, c = 5.3573 Å
α = 90.00°, β = 126.49°, γ = 90.00°
Space group C2/m (No. 12)
Unique sites:
Pm  0.0000  0.0000  0.0000 [2 per cell]
Zn  0.9997  0.5000  0.2484 [4 per cell]
Au  0.1976  0.2002  0.6979 [8 per cell]